No. 1
Structure and calculated powder X-ray diffraction pattern of LaNd2Ni2Ge4Ir2 (a crystal structure in OQMD, relaxed with PBE; copper Kα).

Structure:
Cell: 4.170 4.235 24.510 Å, 90.00 90.00 90.00°
Space group Immm (No. 71)
Inequivalent atoms, fractional coordinates:
La: 0.000 0.000 0.000 x2
Nd: 0.000 0.500 0.147 x4
Ni: 0.000 0.500 0.403 x4
Ge: 0.000 0.000 0.447 x4
Ge: 0.000 0.500 0.307 x4
Ir: 0.000 0.000 0.249 x4

Most intense lines, 10 to 90 degrees two-theta, low angle first:
(hkl)  2θ (°)  I (rel.)
0 0 4  14.5  12
1 0 7  33.4  29
1 1 4  33.5  100
1 1 6  37.4  23
0 2 0  42.7  26
2 0 0  43.4  27
0 1 11  46.0  14
1 2 7  55.3  14
2 2 0  62.5  16
3 1 4  73.3  13

No. 2
Structure and calculated powder X-ray diffraction pattern of LaPr2Ge4Ir2Pd2 (a crystal structure in OQMD, relaxed with PBE; copper Kα).

Structure:
Cell: 4.149 4.346 25.398 Å, 90.00 90.00 90.00°
Space group Immm (No. 71)
Inequivalent atoms, fractional coordinates:
La: 0.000 0.000 0.000 x2
Pr: 0.000 0.500 0.148 x4
Ge: 0.000 0.000 0.450 x4
Ge: 0.000 0.500 0.303 x4
Ir: 0.000 0.000 0.250 x4
Pd: 0.000 0.500 0.402 x4

Most intense lines, 10 to 90 degrees two-theta, low angle first:
(hkl)  2θ (°)  I (rel.)
1 0 7  32.8  28
1 1 4  33.0  100
1 1 6  36.7  13
0 1 9  38.0  14
0 2 0  41.6  26
2 0 0  43.6  23
0 1 11  44.4  14
1 2 7  53.9  13
2 2 0  61.8  16
1 3 4  70.4  11